Entry 1:
Diffraction record for BaC2N2O2. The PXRD pattern is theoretical, not measured: it uses a PBE-relaxed structure and Cu Kα, 1.54184 Å.
Neutral-atom scattering factors, no anomalous dispersion.

Atomic structure:
```
42
Lattice="3.591 2.073 13.771 -3.591 2.073 13.771 0.000 -4.146 13.771" Properties=species:S:1:pos:R:3 pbc="T T T"
Ba 0.000 0.000 6.184
Ba 0.000 0.000 10.328
Ba 0.000 0.000 14.472
Ba 0.000 0.000 26.841
Ba 0.000 0.000 30.984
Ba 0.000 0.000 35.128
C 2.729 -1.061 29.121
C -2.729 1.061 12.192
C 0.446 -2.894 12.192
C -2.283 -1.833 29.121
C -0.861 -1.012 19.077
C -1.308 0.240 22.235
C 0.446 -1.252 22.235
C -0.446 1.252 19.077
C 1.308 -0.240 19.077
C 0.861 1.012 22.235
C 2.283 1.833 12.192
C -0.446 2.894 29.121
N -2.694 1.015 15.372
N -2.226 -1.826 25.941
N 0.468 -2.841 15.372
N -1.365 0.247 19.055
N -0.896 -1.059 22.257
N 0.468 -1.306 19.055
N -0.468 1.306 22.257
N 0.896 1.059 19.055
N 1.365 -0.247 22.257
N -0.468 2.841 25.941
N 2.226 1.826 15.372
N 2.694 -1.015 25.941
O -1.904 0.053 12.261
O -1.687 -2.020 19.146
O -2.593 0.451 22.166
O 0.906 -1.675 12.261
O -0.998 -1.623 29.052
O 0.906 -2.471 22.166
O -0.906 2.471 19.146
O 0.998 1.623 12.261
O -0.906 1.675 29.052
O 2.593 -0.451 19.146
O 1.687 2.020 22.166
O 1.904 -0.053 29.052
```

The 6 most intense peaks (2θ = 15–90°), sorted by position:
2theta, I/Imax
24.8, 73
25.9, 100
36.1, 60
38.5, 20
44.3, 35
57.9, 21

***

Entry 2:
Diffraction record for BaC2S2N2O2. The PXRD pattern is theoretical, not measured: it uses a PBE-relaxed structure and Cu Kα, 1.54184 Å.
Neutral-atom scattering factors, no anomalous dispersion.

Atomic structure:
```
18
Lattice="6.600 -2.287 0.000 6.600 2.287 0.000 -1.005 0.000 13.201" Properties=species:S:1:pos:R:3 pbc="T T T"
Ba 1.348 0.000 3.653
Ba 10.847 0.000 9.548
C 4.094 0.000 6.644
C 5.497 0.000 2.096
C 6.698 0.000 11.104
C 8.100 0.000 6.557
S 4.016 0.000 1.449
S 4.277 0.000 5.039
S 7.918 0.000 8.162
S 8.178 0.000 11.752
N 4.030 0.000 7.836
N 5.582 0.000 10.667
N 6.612 0.000 2.534
N 8.165 0.000 5.365
O -0.514 0.000 7.227
O 0.551 0.000 0.285
O 11.644 0.000 12.916
O 12.709 0.000 5.974
```

The 6 most intense peaks (2θ = 15–90°), sorted by position:
2theta, I/Imax
21.5, 71
21.8, 86
29.4, 100
32.0, 63
33.8, 64
39.4, 51

***

Entry 3:
Diffraction record for BaPrC3N6. The PXRD pattern is theoretical, not measured: it uses a PBE-relaxed structure and Cu Kα, 1.54184 Å.
Neutral-atom scattering factors, no anomalous dispersion.

Atomic structure:
```
11
Lattice="5.256 3.035 2.547 -5.256 3.035 2.547 0.000 -6.070 2.547" Properties=species:S:1:pos:R:3 pbc="T T T"
Ba 0.000 0.000 0.000
Pr 0.000 0.000 3.821
C -2.651 -1.478 2.547
C -2.651 1.478 5.095
C 0.046 3.035 2.547
N -1.632 -0.892 2.171
N 1.588 -0.967 2.171
N 0.044 1.859 2.171
N -1.632 0.892 5.471
N 0.044 -1.859 5.471
N 1.588 0.967 5.471
```

The 6 most intense peaks (2θ = 15–90°), sorted by position:
2theta, I/Imax
16.9, 100
25.3, 22
30.5, 35
34.1, 20
35.1, 34
42.9, 23

***

Entry 4:
Diffraction record for Rb2BaPt2C8N8. The PXRD pattern is theoretical, not measured: it uses a PBE-relaxed structure and Cu Kα, 1.54184 Å.
Neutral-atom scattering factors, no anomalous dispersion.

Atomic structure:
```
21
Lattice="7.880 0.000 0.000 0.000 7.880 0.000 0.000 0.000 7.232" Properties=species:S:1:pos:R:3 pbc="T T T"
Rb 0.000 3.940 0.000
Rb 3.940 0.000 0.000
Ba 0.000 0.000 3.616
Pt 3.940 3.940 1.865
Pt 3.940 3.940 5.367
C 2.533 2.533 1.890
C 2.533 2.533 5.343
C 2.533 5.347 1.890
C 2.533 5.347 5.343
C 5.347 2.533 1.890
C 5.347 2.533 5.343
C 5.347 5.347 1.890
C 5.347 5.347 5.343
N 1.703 1.703 1.924
N 1.703 1.703 5.308
N 1.703 6.177 1.924
N 1.703 6.177 5.308
N 6.177 1.703 1.924
N 6.177 1.703 5.308
N 6.177 6.177 1.924
N 6.177 6.177 5.308
```

The 6 most intense peaks (2θ = 15–90°), sorted by position:
2theta, I/Imax
15.9, 84
20.1, 80
22.6, 74
27.1, 100
32.1, 77
35.6, 92

***

Entry 5:
Diffraction record for BaC2S2N2. The PXRD pattern is theoretical, not measured: it uses a PBE-relaxed structure and Cu Kα, 1.54184 Å.
Neutral-atom scattering factors, no anomalous dispersion.

Atomic structure:
```
14
Lattice="5.376 -3.432 0.000 5.376 3.432 0.000 -0.424 0.000 8.736" Properties=species:S:1:pos:R:3 pbc="T T T"
Ba 5.058 2.723 6.552
Ba 5.270 -2.723 2.184
C 3.918 0.999 3.409
C 6.623 0.999 0.959
C 3.706 -0.999 7.778
C 6.411 -0.999 5.327
S 2.883 0.253 7.146
S 3.095 -0.253 2.778
S 7.233 0.253 5.959
S 7.445 -0.253 1.591
N 4.511 1.930 3.858
N 6.030 1.930 0.511
N 4.299 -1.930 8.226
N 5.818 -1.930 4.879
```

The 6 most intense peaks (2θ = 15–90°), sorted by position:
2theta, I/Imax
15.3, 85
16.5, 58
18.2, 63
20.3, 87
25.2, 97
28.1, 100